K2CuP2O6: theoretical powder XRD pattern (Cu Ka), based on a DFT-relaxed cell (GGA-PBE, Alexandria).

```
data_K2CuP2O6
_space_group_name_H-M_alt 'R -3 m'
_space_group_IT_number 166
_space_group_name_Hall '-R 3 2"'
_cell_length_a 5.6251
_cell_length_b 5.6251
_cell_length_c 16.6376
_cell_angle_alpha 90.00
_cell_angle_beta 90.00
_cell_angle_gamma 120.00
loop_
_atom_site_label
_atom_site_type_symbol
_atom_site_fract_x
_atom_site_fract_y
_atom_site_fract_z
K1 K 0.0000 0.0000 0.2224
Cu1 Cu 0.0000 0.0000 0.0000
P1 P 0.0000 0.0000 0.4319
O1 O 0.0253 0.5127 0.2557
```

Top 8 peaks for 2θ from 10° to 90°, in order of rising 2θ:
h k l  2θ (°)  d_spacing  I/Imax
0 1 2  21.1  4.204  40
1 0 4  28.2  3.163  32
1 1 0  31.8  2.813  100
0 1 5  32.6  2.748  94
0 2 4  43.0  2.102  58
1 2 5  57.2  1.611  23
1 1 9  59.9  1.545  36
2 2 0  66.5  1.406  25